Diffraction record for Zr3TaFe8. The PXRD pattern is theoretical, not measured: it uses a structure optimized by DFT (PBE) and CuKα.

Crystal structure
```
Zr3TaFe8
1.0
2.4656 1.4235 8.0616
-2.4656 1.4235 8.0616
0.0000 -2.8470 8.0616
Zr Ta Fe
3 1 8
Direct
0.0000 0.0000 0.0000
0.1259 0.1259 0.1259
0.5018 0.5018 0.5018
0.6258 0.6258 0.6258
0.0608 0.5629 0.5629
0.0645 0.0645 0.5650
0.0645 0.5650 0.0645
0.3132 0.3132 0.3132
0.5629 0.0608 0.5629
0.5629 0.5629 0.0608
0.5650 0.0645 0.0645
0.8134 0.8134 0.8134
```

The 10 most intense peaks (10 to 90 degrees two-theta), in order of rising 2θ:
2θ/deg	I/Imax
10.97	6.1
21.13	3.5
22.07	6.5
36.43	53.2
43.00	100.0
45.01	20.8
65.55	18.7
70.09	29.1
77.38	21.9
88.68	8.4


Diffraction record for TbFe3. The PXRD pattern is theoretical, not measured: it uses a structure optimized by DFT (PBE) and CuKα.

Crystal structure
```
TbFe3
1.0
2.5560 1.4757 8.1294
-2.5560 1.4757 8.1294
0.0000 -2.9514 8.1294
Tb Fe
3 9
Direct
0.0000 0.0000 0.0000
0.1419 0.1419 0.1419
0.8581 0.8581 0.8581
0.0824 0.5805 0.5805
0.3327 0.3327 0.3327
0.4195 0.4195 0.9176
0.4195 0.9176 0.4195
0.5000 0.5000 0.5000
0.5805 0.0824 0.5805
0.5805 0.5805 0.0824
0.6673 0.6673 0.6673
0.9176 0.4195 0.4195
```

The 10 most intense peaks (10 to 90 degrees two-theta), in order of rising 2θ:
2θ/deg	I/Imax
32.71	52.1
35.11	56.3
35.76	35.2
40.94	38.8
41.74	100.0
61.47	17.0
63.41	13.4
67.53	22.7
68.55	13.2
74.20	20.8


Diffraction record for Tb6Fe23. The PXRD pattern is theoretical, not measured: it uses a structure optimized by DFT (PBE) and CuKα.

Crystal structure
```
Tb6Fe23
1.0
0.0000 6.0414 6.0414
6.0414 0.0000 6.0414
6.0414 6.0414 0.0000
Tb Fe
6 23
Direct
0.2098 0.2098 0.7902
0.2098 0.7902 0.2098
0.2098 0.7902 0.7902
0.7902 0.2098 0.2098
0.7902 0.2098 0.7902
0.7902 0.7902 0.2098
0.0000 0.0000 0.5000
0.0000 0.5000 0.0000
0.0000 0.5000 0.5000
0.1353 0.6216 0.6216
0.1761 0.1761 0.1761
0.1761 0.1761 0.4718
0.1761 0.4718 0.1761
0.3784 0.3784 0.3784
0.3784 0.3784 0.8647
0.3784 0.8647 0.3784
0.4718 0.1761 0.1761
0.5000 0.0000 0.0000
0.5000 0.0000 0.5000
0.5000 0.5000 0.0000
0.5000 0.5000 0.5000
0.5282 0.8239 0.8239
0.6216 0.1353 0.6216
0.6216 0.6216 0.1353
0.6216 0.6216 0.6216
0.8239 0.5282 0.8239
0.8239 0.8239 0.5282
0.8239 0.8239 0.8239
0.8647 0.3784 0.3784
```

The 10 most intense peaks (10 to 90 degrees two-theta), in order of rising 2θ:
2θ/deg	I/Imax
25.54	27.0
29.57	19.7
32.30	22.0
36.43	30.2
38.72	82.6
42.31	100.0
54.21	15.9
62.97	19.0
65.56	21.6
82.60	17.5


Diffraction record for TbFe11W. The PXRD pattern is theoretical, not measured: it uses a structure optimized by DFT (PBE) and CuKα.

Crystal structure
```
TbFe11W
1.0
-2.3477 4.2422 4.2731
2.3477 -4.2422 4.2731
2.3477 4.2422 -4.2731
Tb Fe W
1 11 1
Direct
0.0000 0.0000 0.0000
0.0049 0.0051 0.4998
0.0048 0.5051 0.9997
0.2314 0.5077 0.7237
0.2332 0.7332 0.5000
0.3646 0.0060 0.3586
0.5053 0.0051 0.0003
0.5053 0.5051 0.5002
0.6474 0.0060 0.6414
0.6502 0.6502 0.0000
0.7756 0.2756 0.5000
0.7840 0.5077 0.2763
0.3736 0.3736 0.0000
```

The 10 most intense peaks (10 to 90 degrees two-theta), in order of rising 2θ:
2θ/deg	I/Imax
21.63	40.2
30.20	46.7
36.91	43.5
37.11	50.5
38.34	31.6
42.62	47.4
42.81	84.2
42.91	61.3
44.05	100.0
49.22	31.9


Diffraction record for TbZn20Fe2. The PXRD pattern is theoretical, not measured: it uses a structure optimized by DFT (PBE) and CuKα.

Crystal structure
```
TbZn20Fe2
1.0
0.0000 7.0377 7.0377
7.0377 0.0000 7.0377
7.0377 7.0377 0.0000
Tb Zn Fe
2 40 4
Direct
0.1250 0.1250 0.1250
0.8750 0.8750 0.8750
0.0000 0.0000 0.0000
0.0000 0.0000 0.5000
0.0000 0.5000 0.0000
0.0559 0.3269 0.3269
0.0559 0.3269 0.7903
0.0559 0.7903 0.3269
0.2097 0.6731 0.6731
0.2097 0.6731 0.9441
0.2097 0.9441 0.6731
0.2394 0.2394 0.5106
0.2394 0.5106 0.2394
0.2394 0.5106 0.5106
0.3269 0.0559 0.3269
0.3269 0.0559 0.7903
0.3269 0.3269 0.0559
0.3269 0.3269 0.7903
0.3269 0.7903 0.0559
0.3269 0.7903 0.3269
0.4894 0.4894 0.7606
0.4894 0.7606 0.4894
0.4894 0.7606 0.7606
0.5000 0.0000 0.0000
0.5106 0.2394 0.2394
0.5106 0.2394 0.5106
0.5106 0.5106 0.2394
0.6731 0.2097 0.6731
0.6731 0.2097 0.9441
0.6731 0.6731 0.2097
0.6731 0.6731 0.9441
0.6731 0.9441 0.2097
0.6731 0.9441 0.6731
0.7606 0.4894 0.4894
0.7606 0.4894 0.7606
0.7606 0.7606 0.4894
0.7903 0.0559 0.3269
0.7903 0.3269 0.0559
0.7903 0.3269 0.3269
0.9441 0.2097 0.6731
0.9441 0.6731 0.2097
0.9441 0.6731 0.6731
0.0000 0.5000 0.5000
0.5000 0.0000 0.5000
0.5000 0.5000 0.0000
0.5000 0.5000 0.5000
```

The 10 most intense peaks (10 to 90 degrees two-theta), in order of rising 2θ:
2θ/deg	I/Imax
37.81	100.0
40.53	39.5
42.10	67.0
42.61	60.3
46.05	19.0
55.39	28.7
66.04	16.4
76.58	35.4
77.64	15.3
80.44	17.6


Diffraction record for Ti2FeTc. The PXRD pattern is theoretical, not measured: it uses a structure optimized by DFT (PBE) and CuKα.

Crystal structure
```
Ti2FeTc
1.0
0.0000 3.0365 3.0365
3.0365 0.0000 3.0365
3.0365 3.0365 0.0000
Ti Fe Tc
2 1 1
Direct
0.2500 0.2500 0.2500
0.7500 0.7500 0.7500
0.0000 0.0000 0.0000
0.5000 0.5000 0.5000
```

The 10 most intense peaks (10 to 90 degrees two-theta), in order of rising 2θ:
2θ/deg	I/Imax
25.40	7.0
29.41	8.8
42.08	100.0
49.80	3.5
52.17	2.5
61.03	15.4
67.19	1.5
69.18	3.2
76.91	29.9
82.54	1.2


Diffraction record for Zr2FeTc. The PXRD pattern is theoretical, not measured: it uses a structure optimized by DFT (PBE) and CuKα.

Crystal structure
```
Zr2FeTc
1.0
0.0000 3.2431 3.2431
3.2431 0.0000 3.2431
3.2431 3.2431 0.0000
Zr Fe Tc
2 1 1
Direct
0.2500 0.2500 0.2500
0.7500 0.7500 0.7500
0.0000 0.0000 0.0000
0.5000 0.5000 0.5000
```

The 10 most intense peaks (10 to 90 degrees two-theta), in order of rising 2θ:
2θ/deg	I/Imax
23.76	3.6
27.50	0.8
39.29	100.0
46.43	1.9
56.77	16.4
62.41	0.8
71.22	32.3
76.28	0.6
84.50	10.1
89.36	0.7


Diffraction record for Fe3Te. The PXRD pattern is theoretical, not measured: it uses a structure optimized by DFT (PBE) and CuKα.

Crystal structure
```
Fe3Te
1.0
0.0000 3.0124 3.0124
3.0124 0.0000 3.0124
3.0124 3.0124 0.0000
Fe Te
3 1
Direct
0.0000 0.0000 0.0000
0.2500 0.2500 0.2500
0.7500 0.7500 0.7500
0.5000 0.5000 0.5000
```

The 10 most intense peaks (10 to 90 degrees two-theta), in order of rising 2θ:
2θ/deg	I/Imax
25.61	11.8
29.66	6.1
42.44	100.0
50.22	6.0
52.62	1.8
61.57	15.6
67.80	2.6
69.81	2.4
77.64	30.5
83.35	2.0


Diffraction record for FeTe. The PXRD pattern is theoretical, not measured: it uses a structure optimized by DFT (PBE) and CuKα.

Crystal structure
```
FeTe
1.0
4.1045 0.0000 0.0000
-2.0523 3.5546 0.0000
0.0000 0.0000 5.0812
Fe Te
2 2
Direct
0.0000 0.0000 0.0000
0.0000 0.0000 0.5000
0.3333 0.6667 0.2500
0.6667 0.3333 0.7500
```

The 10 most intense peaks (10 to 90 degrees two-theta), in order of rising 2θ:
2θ/deg	I/Imax
30.70	100.0
43.80	47.0
44.13	52.7
54.71	19.3
60.56	14.1
63.92	14.4
72.81	16.2
77.91	6.7
80.95	14.3
81.18	8.3


Diffraction record for FeTe. The PXRD pattern is theoretical, not measured: it uses a structure optimized by DFT (PBE) and CuKα.

Crystal structure
```
FeTe
1.0
3.6560 0.0000 0.0000
0.0000 3.6560 0.0000
0.0000 0.0000 6.5145
Fe Te
2 2
Direct
0.2500 0.7500 0.0000
0.7500 0.2500 0.0000
0.2500 0.2500 0.2797
0.7500 0.7500 0.7203
```

The 10 most intense peaks (10 to 90 degrees two-theta), in order of rising 2θ:
2θ/deg	I/Imax
13.59	13.5
27.99	100.0
37.43	20.9
41.59	8.9
44.76	56.1
48.78	15.9
49.89	22.2
58.17	25.1
66.91	8.1
72.34	9.7


Diffraction record for TlFe3Te3. The PXRD pattern is theoretical, not measured: it uses a structure optimized by DFT (PBE) and CuKα.

Crystal structure
```
TlFe3Te3
1.0
9.4529 0.0000 0.0000
-4.7265 8.1865 0.0000
0.0000 0.0000 4.2518
Tl Fe Te
2 6 6
Direct
0.3333 0.6667 0.2500
0.6667 0.3333 0.7500
0.0205 0.1619 0.2500
0.1414 0.9795 0.2500
0.1619 0.1414 0.7500
0.8381 0.8586 0.2500
0.8586 0.0205 0.7500
0.9795 0.8381 0.7500
0.0444 0.3464 0.7500
0.3021 0.9556 0.7500
0.3464 0.3021 0.2500
0.6536 0.6979 0.7500
0.6979 0.0444 0.2500
0.9556 0.6536 0.2500
```

The 10 most intense peaks (10 to 90 degrees two-theta), in order of rising 2θ:
2θ/deg	I/Imax
23.58	35.2
28.23	100.0
28.85	42.8
30.31	80.0
32.82	97.9
35.89	70.9
42.52	44.3
43.83	66.3
53.33	61.7
54.73	46.5


Diffraction record for VFeTe. The PXRD pattern is theoretical, not measured: it uses a structure optimized by DFT (PBE) and CuKα.

Crystal structure
```
VFeTe
1.0
0.0000 2.9165 2.9165
2.9165 0.0000 2.9165
2.9165 2.9165 0.0000
V Fe Te
1 1 1
Direct
0.0000 0.0000 0.0000
0.2500 0.2500 0.2500
0.5000 0.5000 0.5000
```

The 10 most intense peaks (10 to 90 degrees two-theta), in order of rising 2θ:
2θ/deg	I/Imax
26.47	43.7
30.65	33.4
43.90	100.0
52.00	20.5
54.49	8.6
63.83	15.5
70.35	8.2
72.46	10.9
80.70	30.8
86.75	6.4


Diffraction record for ThFe2. The PXRD pattern is theoretical, not measured: it uses a structure optimized by DFT (PBE) and CuKα.

Crystal structure
```
ThFe2
1.0
-1.7722 1.7722 4.6014
1.7722 -1.7722 4.6014
1.7722 1.7722 -4.6014
Th Fe
1 2
Direct
0.0000 0.0000 0.0000
0.2500 0.7500 0.5000
0.7500 0.2500 0.5000
```

The 10 most intense peaks (10 to 90 degrees two-theta), in order of rising 2θ:
2θ/deg	I/Imax
26.96	100.0
38.82	38.9
39.15	22.1
41.01	77.7
51.57	19.8
56.32	13.6
59.14	23.5
66.38	16.7
66.61	18.1
72.21	14.3